Theoretical powder diffractogram of Tl2Pb7Au2 for Cu Kα X-rays, from a cell relaxed with PBE.
Intensities are scaled so that the largest is 100.

Structural model:
```
Tl2Pb7Au2
1.0
7.7518 -5.7562 0.0000
7.7518 5.7562 0.0000
-0.8547 0.0000 3.6341
Tl Pb Au
2 7 2
Direct
0.1040 0.1040 0.1012
0.8960 0.8960 0.8988
0.0951 0.6020 0.3547
0.2999 0.2999 0.8011
0.3980 0.9049 0.6453
0.5000 0.5000 0.5000
0.6020 0.0951 0.3547
0.7001 0.7001 0.1989
0.9049 0.3980 0.6453
0.2770 0.7230 0.0000
0.7230 0.2770 0.0000
```

Peak list (10 most intense, 2θ = 10–90°, in order of falling intensity)
| two_theta | I (rel.) |
| --- | --- |
| 33.55 | 100 |
| 33.87 | 95 |
| 31.07 | 78 |
| 30.62 | 41 |
| 59.00 | 33 |
| 35.70 | 31 |
| 48.79 | 25 |
| 39.08 | 19 |
| 57.09 | 19 |
| 56.88 | 18 |